[1]
This entry pairs a crystal structure of MgTi2Fe4O10 with its calculated X-ray diffraction stick pattern. Radiation: copper Kα. Structure: a crystal structure in the Materials Project, relaxed with PBE+U.

The 10 most intense peaks (2θ = 10–90°), in order of falling intensity:
2θ 34.5, I = 100
2θ 32.1, I = 59
2θ 31.6, I = 57
2θ 34.9, I = 45
2θ 35.0, I = 44
2θ 62.5, I = 42
2θ 21.2, I = 39
2θ 52.4, I = 37
2θ 21.4, I = 31
2θ 61.6, I = 24

Atomic structure:
```
data_MgTi2Fe4O10
_chemical_formula_sum 'Mg1 Ti2 Fe4 O10'
_symmetry_space_group_name_H-M 'P 1'
_symmetry_Int_Tables_number 1
_symmetry_space_group_name_Hall 'P 1'
_cell_length_a 5.1287
_cell_length_b 5.6231
_cell_length_c 7.8056
_cell_angle_alpha 109.48
_cell_angle_beta 90.57
_cell_angle_gamma 116.22
loop_
_atom_site_label
_atom_site_type_symbol
_atom_site_fract_x
_atom_site_fract_y
_atom_site_fract_z
Mg1 Mg 0.0000 0.0000 0.0000
Ti1 Ti 0.5802 0.0909 0.2609
Ti2 Ti 0.5884 0.1880 0.7448
Fe1 Fe 0.2157 0.3914 0.4248
Fe2 Fe 0.3381 0.6769 0.8224
Fe3 Fe 0.7865 0.5529 0.1288
Fe4 Fe 0.9426 0.8821 0.5424
O1 O 0.1736 0.9787 0.2596
O2 O 0.2297 0.7543 0.5810
O3 O 0.3185 0.2856 0.6431
O4 O 0.4204 0.1406 0.9526
O5 O 0.5782 0.7763 0.0793
O6 O 0.6182 0.5120 0.3724
O7 O 0.7650 0.1195 0.4774
O8 O 0.7744 0.9502 0.7643
O9 O 0.9136 0.5468 0.8654
O10 O 0.9683 0.3272 0.1987
```


[2]
This entry pairs a crystal structure of MgTi2Fe2O6 with its calculated X-ray diffraction stick pattern. Radiation: copper Kα. Structure: a crystal structure in the Materials Project, relaxed with PBE+U.

The 10 most intense peaks (2θ = 10–90°), in order of falling intensity:
2θ 45.7, I = 100
2θ 27.1, I = 87
2θ 33.6, I = 34
2θ 41.5, I = 33
2θ 53.4, I = 31
2θ 21.2, I = 25
2θ 35.5, I = 22
2θ 19.8, I = 18
2θ 60.3, I = 17
2θ 36.3, I = 17

Atomic structure:
```
data_MgTi2Fe2O6
_chemical_formula_sum 'Mg1 Ti2 Fe2 O6'
_symmetry_space_group_name_H-M 'P 1'
_symmetry_Int_Tables_number 1
_symmetry_space_group_name_Hall 'P 1'
_cell_length_a 8.3933
_cell_length_b 5.5054
_cell_length_c 5.5054
_cell_angle_alpha 30.72
_cell_angle_beta 90.00
_cell_angle_gamma 90.00
loop_
_atom_site_label
_atom_site_type_symbol
_atom_site_fract_x
_atom_site_fract_y
_atom_site_fract_z
Mg1 Mg 0.0000 0.0000 0.0000
Ti1 Ti 0.3210 0.5677 0.5677
Ti2 Ti 0.6790 0.5677 0.5677
Fe1 Fe 0.0000 0.7456 0.7456
Fe2 Fe 0.5000 0.3427 0.3427
O1 O 0.0000 0.3832 0.3832
O2 O 0.1648 0.1377 0.1377
O3 O 0.3437 0.9455 0.9455
O4 O 0.5000 0.6867 0.6867
O5 O 0.6563 0.9455 0.9455
O6 O 0.8352 0.1377 0.1377
```


[3]
This entry pairs a crystal structure of MgTi2Fe2O6 with its calculated X-ray diffraction stick pattern. Radiation: copper Kα. Structure: a crystal structure in the Materials Project, relaxed with PBE+U.

The 10 most intense peaks (2θ = 10–90°), in order of falling intensity:
2θ 14.1, I = 100
2θ 36.3, I = 99
2θ 18.0, I = 64
2θ 26.6, I = 43
2θ 59.9, I = 40
2θ 46.0, I = 39
2θ 36.5, I = 25
2θ 46.7, I = 24
2θ 32.1, I = 22
2θ 37.9, I = 22

Atomic structure:
```
data_MgTi2Fe2O6
_chemical_formula_sum 'Mg1 Ti2 Fe2 O6'
_symmetry_space_group_name_H-M 'P 1'
_symmetry_Int_Tables_number 1
_symmetry_space_group_name_Hall 'P 1'
_cell_length_a 7.8965
_cell_length_b 6.4849
_cell_length_c 6.4849
_cell_angle_alpha 27.32
_cell_angle_beta 90.00
_cell_angle_gamma 90.00
loop_
_atom_site_label
_atom_site_type_symbol
_atom_site_fract_x
_atom_site_fract_y
_atom_site_fract_z
Mg1 Mg 0.0000 0.0000 0.0000
Ti1 Ti 0.2529 0.6441 0.6441
Ti2 Ti 0.7471 0.6441 0.6441
Fe1 Fe 0.0000 0.3007 0.3007
Fe2 Fe 0.5000 0.0081 0.0081
O1 O 0.0000 0.6133 0.6133
O2 O 0.2341 0.2378 0.2378
O3 O 0.2573 0.0287 0.0287
O4 O 0.5000 0.6321 0.6321
O5 O 0.7427 0.0287 0.0287
O6 O 0.7659 0.2378 0.2378
```


[4]
This entry pairs a crystal structure of Mg14TiFeO16 with its calculated X-ray diffraction stick pattern. Radiation: copper Kα. Structure: a crystal structure in the Materials Project, relaxed with PBE+U.

The 10 most intense peaks (2θ = 10–90°), in order of falling intensity:
2θ 42.3, I = 100
2θ 61.1, I = 57
2θ 42.0, I = 51
2θ 61.3, I = 28
2θ 77.2, I = 26
2θ 36.3, I = 25
2θ 73.4, I = 9
2θ 10.3, I = 9
2θ 23.2, I = 6
2θ 29.5, I = 5

Atomic structure:
```
data_Mg14TiFeO16
_chemical_formula_sum 'Mg14 Ti1 Fe1 O16'
_symmetry_space_group_name_H-M 'P 1'
_symmetry_Int_Tables_number 1
_symmetry_space_group_name_Hall 'P 1'
_cell_length_a 4.2767
_cell_length_b 8.5459
_cell_length_c 8.5976
_cell_angle_alpha 90.00
_cell_angle_beta 90.00
_cell_angle_gamma 90.00
loop_
_atom_site_label
_atom_site_type_symbol
_atom_site_fract_x
_atom_site_fract_y
_atom_site_fract_z
Mg1 Mg 0.0000 0.0000 0.0000
Mg2 Mg 0.0000 0.2487 0.2483
Mg3 Mg 0.0000 0.2487 0.7517
Mg4 Mg 0.0000 0.5000 0.0000
Mg5 Mg 0.0000 0.7513 0.2483
Mg6 Mg 0.0000 0.7513 0.7517
Mg7 Mg 0.5000 0.0000 0.2500
Mg8 Mg 0.5000 0.0000 0.7500
Mg9 Mg 0.5000 0.2463 0.5000
Mg10 Mg 0.5000 0.2491 0.0000
Mg11 Mg 0.5000 0.5000 0.2469
Mg12 Mg 0.5000 0.5000 0.7531
Mg13 Mg 0.5000 0.7509 0.0000
Mg14 Mg 0.5000 0.7537 0.5000
Ti1 Ti 0.0000 0.5000 0.5000
Fe1 Fe 0.0000 0.0000 0.5000
O1 O 0.0000 0.0000 0.2414
O2 O 0.0000 0.0000 0.7586
O3 O 0.0000 0.2459 0.5000
O4 O 0.0000 0.2507 0.0000
O5 O 0.0000 0.5000 0.2440
O6 O 0.0000 0.5000 0.7560
O7 O 0.0000 0.7493 0.0000
O8 O 0.0000 0.7541 0.5000
O9 O 0.5000 0.0000 0.0000
O10 O 0.5000 0.0000 0.5000
O11 O 0.5000 0.2508 0.2510
O12 O 0.5000 0.2508 0.7490
O13 O 0.5000 0.5000 0.0000
O14 O 0.5000 0.5000 0.5000
O15 O 0.5000 0.7492 0.2510
O16 O 0.5000 0.7492 0.7490
```


[5]
This entry pairs a crystal structure of MgTi4Fe2O10 with its calculated X-ray diffraction stick pattern. Radiation: copper Kα. Structure: a crystal structure in the Materials Project, relaxed with PBE+U.

The 10 most intense peaks (2θ = 10–90°), in order of falling intensity:
2θ 31.7, I = 100
2θ 25.0, I = 91
2θ 47.8, I = 56
2θ 39.4, I = 52
2θ 36.7, I = 42
2θ 54.4, I = 38
2θ 26.5, I = 35
2θ 39.7, I = 31
2θ 35.3, I = 30
2θ 58.5, I = 30

Atomic structure:
```
data_MgTi4Fe2O10
_chemical_formula_sum 'Mg1 Ti4 Fe2 O10'
_symmetry_space_group_name_H-M 'P 1'
_symmetry_Int_Tables_number 1
_symmetry_space_group_name_Hall 'P 1'
_cell_length_a 3.8042
_cell_length_b 10.1201
_cell_length_c 5.4741
_cell_angle_alpha 90.00
_cell_angle_beta 110.33
_cell_angle_gamma 90.00
loop_
_atom_site_label
_atom_site_type_symbol
_atom_site_fract_x
_atom_site_fract_y
_atom_site_fract_z
Mg1 Mg 0.0000 0.0000 0.0000
Ti1 Ti 0.3448 0.1901 0.6883
Ti2 Ti 0.3448 0.8099 0.6883
Ti3 Ti 0.5993 0.3165 0.1942
Ti4 Ti 0.5993 0.6835 0.1942
Fe1 Fe 0.2746 0.5000 0.5445
Fe2 Fe 0.6942 0.0000 0.3872
O1 O 0.1671 0.2968 0.3294
O2 O 0.1671 0.7032 0.3294
O3 O 0.2189 0.0000 0.4360
O4 O 0.4260 0.3651 0.8484
O5 O 0.4260 0.6349 0.8484
O6 O 0.5309 0.1272 0.0566
O7 O 0.5309 0.8728 0.0566
O8 O 0.6758 0.5000 0.3468
O9 O 0.8424 0.1531 0.6817
O10 O 0.8424 0.8469 0.6817
```


[6]
This entry pairs a crystal structure of MgTi2Fe2O6 with its calculated X-ray diffraction stick pattern. Radiation: copper Kα. Structure: a crystal structure in the Materials Project, relaxed with PBE+U.

The 10 most intense peaks (2θ = 10–90°), in order of falling intensity:
2θ 34.5, I = 100
2θ 50.5, I = 87
2θ 30.9, I = 59
2θ 50.3, I = 50
2θ 34.5, I = 49
2θ 61.7, I = 43
2θ 23.0, I = 35
2θ 50.6, I = 34
2θ 35.8, I = 29
2θ 35.7, I = 27

Atomic structure:
```
data_MgTi2Fe2O6
_chemical_formula_sum 'Mg1 Ti2 Fe2 O6'
_symmetry_space_group_name_H-M 'P 1'
_symmetry_Int_Tables_number 1
_symmetry_space_group_name_Hall 'P 1'
_cell_length_a 5.1933
_cell_length_b 5.1983
_cell_length_c 5.8557
_cell_angle_alpha 116.19
_cell_angle_beta 90.16
_cell_angle_gamma 119.79
loop_
_atom_site_label
_atom_site_type_symbol
_atom_site_fract_x
_atom_site_fract_y
_atom_site_fract_z
Mg1 Mg 0.0000 0.0000 0.0000
Ti1 Ti 0.3485 0.6937 0.0362
Ti2 Ti 0.8235 0.6455 0.4680
Fe1 Fe 0.1687 0.3363 0.5027
Fe2 Fe 0.6375 0.2712 0.9012
O1 O 0.0629 0.8043 0.2257
O2 O 0.2054 0.7958 0.7525
O3 O 0.4226 0.4827 0.2299
O4 O 0.5904 0.5463 0.7518
O5 O 0.7417 0.1621 0.2283
O6 O 0.9565 0.1609 0.7480
```


[7]
This entry pairs a crystal structure of MgTi2Fe4O10 with its calculated X-ray diffraction stick pattern. Radiation: copper Kα. Structure: a crystal structure in the Materials Project, relaxed with PBE+U.

The 10 most intense peaks (2θ = 10–90°), in order of falling intensity:
2θ 34.4, I = 100
2θ 24.5, I = 92
2θ 34.6, I = 89
2θ 33.6, I = 70
2θ 34.8, I = 57
2θ 50.2, I = 45
2θ 19.0, I = 38
2θ 34.1, I = 32
2θ 62.0, I = 31
2θ 31.7, I = 31

Atomic structure:
```
data_MgTi2Fe4O10
_chemical_formula_sum 'Mg1 Ti2 Fe4 O10'
_symmetry_space_group_name_H-M 'P 1'
_symmetry_Int_Tables_number 1
_symmetry_space_group_name_Hall 'P 1'
_cell_length_a 5.1845
_cell_length_b 5.6851
_cell_length_c 7.8653
_cell_angle_alpha 110.25
_cell_angle_beta 90.97
_cell_angle_gamma 116.66
loop_
_atom_site_label
_atom_site_type_symbol
_atom_site_fract_x
_atom_site_fract_y
_atom_site_fract_z
Mg1 Mg 0.0000 0.0000 0.0000
Ti1 Ti 0.7757 0.5887 0.6004
Ti2 Ti 0.8052 0.5504 0.1384
Fe1 Fe 0.1708 0.3252 0.4010
Fe2 Fe 0.2067 0.4235 0.8630
Fe3 Fe 0.4454 0.8381 0.2969
Fe4 Fe 0.4516 0.9224 0.7456
O1 O 0.0660 0.4851 0.6581
O2 O 0.1190 0.0109 0.7519
O3 O 0.1867 0.7656 0.0627
O4 O 0.3862 0.4137 0.1153
O5 O 0.4940 0.2123 0.4465
O6 O 0.5603 0.7382 0.5004
O7 O 0.6227 0.6213 0.8200
O8 O 0.7999 0.2299 0.9490
O9 O 0.8332 0.9427 0.2237
O10 O 0.9980 0.5878 0.3476
```


[8]
This entry pairs a crystal structure of MgTi2Fe4O10 with its calculated X-ray diffraction stick pattern. Radiation: copper Kα. Structure: a crystal structure in the Materials Project, relaxed with PBE+U.

The 10 most intense peaks (2θ = 10–90°), in order of falling intensity:
2θ 24.8, I = 100
2θ 31.6, I = 68
2θ 47.5, I = 62
2θ 32.1, I = 56
2θ 17.2, I = 43
2θ 39.6, I = 41
2θ 35.1, I = 40
2θ 58.2, I = 32
2θ 39.0, I = 30
2θ 36.8, I = 25

Atomic structure:
```
data_MgTi2Fe4O10
_chemical_formula_sum 'Mg1 Ti2 Fe4 O10'
_symmetry_space_group_name_H-M 'P 1'
_symmetry_Int_Tables_number 1
_symmetry_space_group_name_Hall 'P 1'
_cell_length_a 5.4902
_cell_length_b 5.4902
_cell_length_c 10.0805
_cell_angle_alpha 90.92
_cell_angle_beta 90.92
_cell_angle_gamma 40.78
loop_
_atom_site_label
_atom_site_type_symbol
_atom_site_fract_x
_atom_site_fract_y
_atom_site_fract_z
Mg1 Mg 0.0000 0.0000 0.0000
Ti1 Ti 0.3513 0.3513 0.7969
Ti2 Ti 0.5999 0.5999 0.3198
Fe1 Fe 0.2843 0.2843 0.5018
Fe2 Fe 0.3386 0.3386 0.1867
Fe3 Fe 0.6179 0.6179 0.6848
Fe4 Fe 0.6977 0.6977 0.9975
O1 O 0.1724 0.1724 0.3108
O2 O 0.1823 0.1823 0.6853
O3 O 0.2155 0.2155 0.0062
O4 O 0.4254 0.4254 0.6340
O5 O 0.4331 0.4331 0.3711
O6 O 0.5138 0.5138 0.8897
O7 O 0.5466 0.5466 0.1451
O8 O 0.7197 0.7197 0.4832
O9 O 0.8343 0.8343 0.8368
O10 O 0.8560 0.8560 0.1453
```


[9]
This entry pairs a crystal structure of MgTi4FeO10 with its calculated X-ray diffraction stick pattern. Radiation: copper Kα. Structure: a crystal structure in the Materials Project, relaxed with PBE+U.

The 10 most intense peaks (2θ = 10–90°), in order of falling intensity:
2θ 25.4, I = 100
2θ 32.0, I = 67
2θ 48.5, I = 32
2θ 18.0, I = 30
2θ 45.4, I = 22
2θ 55.6, I = 21
2θ 36.8, I = 20
2θ 59.2, I = 20
2θ 40.6, I = 18
2θ 36.3, I = 18

Atomic structure:
```
data_MgTi4FeO10
_chemical_formula_sum 'Mg1 Ti4 Fe1 O10'
_symmetry_space_group_name_H-M 'P 1'
_symmetry_Int_Tables_number 1
_symmetry_space_group_name_Hall 'P 1'
_cell_length_a 10.1937
_cell_length_b 5.2843
_cell_length_c 5.2843
_cell_angle_alpha 41.64
_cell_angle_beta 90.00
_cell_angle_gamma 90.00
loop_
_atom_site_label
_atom_site_type_symbol
_atom_site_fract_x
_atom_site_fract_y
_atom_site_fract_z
Mg1 Mg 0.0000 0.0000 0.0000
Ti1 Ti 0.1809 0.6725 0.6725
Ti2 Ti 0.3153 0.9376 0.9376
Ti3 Ti 0.6847 0.9376 0.9376
Ti4 Ti 0.8191 0.6725 0.6725
Fe1 Fe 0.5000 0.6110 0.6110
O1 O 0.0000 0.5885 0.5885
O2 O 0.1359 0.8502 0.8502
O3 O 0.1866 0.1179 0.1179
O4 O 0.3079 0.4902 0.4902
O5 O 0.3603 0.7587 0.7587
O6 O 0.5000 0.0093 0.0093
O7 O 0.6397 0.7587 0.7587
O8 O 0.6921 0.4902 0.4902
O9 O 0.8134 0.1179 0.1179
O10 O 0.8641 0.8502 0.8502
```


[10]
This entry pairs a crystal structure of MgTi2Fe2O6 with its calculated X-ray diffraction stick pattern. Radiation: copper Kα. Structure: a crystal structure in the Materials Project, relaxed with PBE+U.

The 10 most intense peaks (2θ = 10–90°), in order of falling intensity:
2θ 33.7, I = 100
2θ 33.5, I = 52
2θ 60.0, I = 46
2θ 36.4, I = 39
2θ 35.9, I = 37
2θ 36.0, I = 37
2θ 50.2, I = 35
2θ 20.2, I = 28
2θ 50.5, I = 27
2θ 38.2, I = 26

Atomic structure:
```
data_MgTi2Fe2O6
_chemical_formula_sum 'Mg1 Ti2 Fe2 O6'
_symmetry_space_group_name_H-M 'P 1'
_symmetry_Int_Tables_number 1
_symmetry_space_group_name_Hall 'P 1'
_cell_length_a 5.3230
_cell_length_b 5.3238
_cell_length_c 5.7740
_cell_angle_alpha 90.71
_cell_angle_beta 116.60
_cell_angle_gamma 119.74
loop_
_atom_site_label
_atom_site_type_symbol
_atom_site_fract_x
_atom_site_fract_y
_atom_site_fract_z
Mg1 Mg 0.0000 0.0000 0.0000
Ti1 Ti 0.3805 0.1899 0.5730
Ti2 Ti 0.7021 0.3519 0.0559
Fe1 Fe 0.0827 0.5447 0.6262
Fe2 Fe 0.5286 0.7640 0.2957
O1 O 0.1675 0.3970 0.3126
O2 O 0.2383 0.2703 0.8202
O3 O 0.5251 0.1351 0.3015
O4 O 0.5543 0.9697 0.8115
O5 O 0.8463 0.5805 0.8099
O6 O 0.9125 0.7777 0.3046
```


[11]
This entry pairs a crystal structure of MgTi2Fe4O10 with its calculated X-ray diffraction stick pattern. Radiation: copper Kα. Structure: a crystal structure in the Materials Project, relaxed with PBE+U.

The 10 most intense peaks (2θ = 10–90°), in order of falling intensity:
2θ 25.7, I = 100
2θ 32.7, I = 70
2θ 27.7, I = 66
2θ 35.8, I = 52
2θ 34.8, I = 51
2θ 49.4, I = 47
2θ 17.3, I = 40
2θ 39.5, I = 35
2θ 61.1, I = 24
2θ 57.3, I = 23

Atomic structure:
```
data_MgTi2Fe4O10
_chemical_formula_sum 'Mg1 Ti2 Fe4 O10'
_symmetry_space_group_name_H-M 'P 1'
_symmetry_Int_Tables_number 1
_symmetry_space_group_name_Hall 'P 1'
_cell_length_a 5.5116
_cell_length_b 5.5116
_cell_length_c 11.0129
_cell_angle_alpha 99.29
_cell_angle_beta 99.29
_cell_angle_gamma 39.14
loop_
_atom_site_label
_atom_site_type_symbol
_atom_site_fract_x
_atom_site_fract_y
_atom_site_fract_z
Mg1 Mg 0.0000 0.0000 0.0000
Ti1 Ti 0.3294 0.3294 0.1148
Ti2 Ti 0.6445 0.6445 0.5638
Fe1 Fe 0.3588 0.3588 0.7370
Fe2 Fe 0.3623 0.3623 0.4498
Fe3 Fe 0.6563 0.6563 0.2790
Fe4 Fe 0.6780 0.6780 0.8921
O1 O 0.1819 0.1819 0.9748
O2 O 0.2032 0.2032 0.5805
O3 O 0.2627 0.2627 0.2622
O4 O 0.4687 0.4687 0.8898
O5 O 0.4846 0.4846 0.6251
O6 O 0.5113 0.5113 0.1350
O7 O 0.5361 0.5361 0.4092
O8 O 0.7732 0.7732 0.7445
O9 O 0.7973 0.7973 0.4530
O10 O 0.8316 0.8316 0.0671
```